Diffraction record for Sb5Te. The powder diffraction line list is calculated, not measured: it uses a DFT-relaxed cell (PBE, Alexandria) and Cu Kα.

Main lines, sorted by position (2θ from 10° to 90°):
2θ 32.03, rel. 42; 2θ 33.47, rel. 100; 2θ 33.94, rel. 27; 2θ 37.67, rel. 40; 2θ 47.36, rel. 21; 2θ 54.65, rel. 24; 2θ 58.01, rel. 20; 2θ 70.33, rel. 25

Atomic structure:
```
Sb5Te
1.0
6.0998 0.0000 0.0000
-3.0499 5.2826 0.0000
0.0000 0.0000 5.5888
Sb Te
5 1
Cartesian
-1.5250 2.6413 0.0000 Sb
0.0000 3.5217 2.7944 Sb
3.0499 0.0000 0.0000 Sb
1.5250 2.6413 0.0000 Sb
3.0499 1.7609 2.7944 Sb
0.0000 0.0000 2.7944 Te
```